No. 1
Starting from a structure optimized by DFT (PBE+U), the powder diffraction line list of LiFePCO7 was simulated for a wavelength of 1.5418 Å.

Most intense lines, 2θ = 5–70°, sorted by position:
10.5 deg, rel. 95; 17.3 deg, rel. 23; 17.4 deg, rel. 22; 19.4 deg, rel. 56; 21.0 deg, rel. 76; 22.1 deg, rel. 18; 25.2 deg, rel. 29; 26.1 deg, rel. 38; 27.7 deg, rel. 100; 35.6 deg, rel. 19

Structure:
```
LiFePCO7
1.0
5.166 0.000 0.000
0.760 10.564 0.000
0.766 2.753 10.265
Li Fe P C O
4 4 4 4 28
Direct
0.000 0.000 0.000 Li
0.001 0.501 0.504 Li
0.458 0.639 0.142 Li
0.981 0.155 0.458 Li
0.027 0.359 0.866 Fe
0.030 0.862 0.368 Fe
0.423 0.779 0.782 Fe
0.426 0.278 0.278 Fe
0.493 0.985 0.488 P
0.499 0.482 0.985 P
0.953 0.152 0.162 P
0.953 0.657 0.662 P
0.524 0.414 0.432 C
0.524 0.924 0.925 C
0.935 0.714 0.222 C
0.941 0.220 0.718 C
0.016 0.699 0.512 O
0.020 0.507 0.695 O
0.027 0.002 0.199 O
0.028 0.192 0.015 O
0.089 0.225 0.246 O
0.099 0.730 0.740 O
0.173 0.241 0.746 O
0.177 0.727 0.236 O
0.282 0.407 0.411 O
0.282 0.906 0.912 O
0.349 0.408 0.911 O
0.362 0.902 0.411 O
0.387 0.130 0.446 O
0.428 0.939 0.635 O
0.435 0.442 0.136 O
0.435 0.632 0.951 O
0.607 0.990 0.994 O
0.610 0.484 0.497 O
0.658 0.177 0.190 O
0.659 0.683 0.691 O
0.690 0.344 0.374 O
0.691 0.862 0.861 O
0.760 0.273 0.783 O
0.769 0.778 0.285 O
0.793 0.453 0.958 O
0.794 0.977 0.454 O
0.847 0.646 0.154 O
0.894 0.159 0.637 O
```

No. 2
Starting from a structure optimized by DFT (PBE+U), the powder diffraction line list of LiFePCO7 was simulated for a wavelength of 1.5418 Å.

Most intense lines, 2θ = 5–70°, sorted by position:
10.6 deg, rel. 90; 17.4 deg, rel. 41; 19.6 deg, rel. 56; 21.1 deg, rel. 71; 22.2 deg, rel. 18; 25.3 deg, rel. 30; 26.4 deg, rel. 37; 27.7 deg, rel. 100; 35.1 deg, rel. 24; 35.9 deg, rel. 19

Structure:
```
LiFePCO7
1.0
8.233 0.000 0.000
-1.843 8.028 0.000
-2.780 -3.429 8.345
Li Fe P C O
4 4 4 4 28
Direct
0.000 0.000 0.000 Li
0.130 0.614 0.216 Li
0.363 0.070 0.394 Li
0.507 0.497 0.003 Li
0.008 0.008 0.446 Fe
0.124 0.617 0.775 Fe
0.517 0.510 0.443 Fe
0.628 0.120 0.779 Fe
0.269 0.761 0.532 P
0.375 0.365 0.688 P
0.767 0.263 0.532 P
0.874 0.865 0.690 P
0.314 0.811 0.071 C
0.322 0.307 0.152 C
0.820 0.312 0.070 C
0.822 0.814 0.153 C
0.000 0.985 0.638 O
0.141 0.644 0.583 O
0.165 0.843 0.418 O
0.180 0.668 0.034 O
0.210 0.199 0.016 O
0.236 0.205 0.532 O
0.292 0.472 0.793 O
0.306 0.279 0.279 O
0.337 0.642 0.419 O
0.347 0.834 0.951 O
0.405 0.922 0.213 O
0.421 0.909 0.684 O
0.452 0.450 0.183 O
0.492 0.297 0.804 O
0.494 0.489 0.635 O
0.630 0.139 0.576 O
0.656 0.340 0.424 O
0.681 0.172 0.027 O
0.712 0.704 0.016 O
0.724 0.720 0.535 O
0.798 0.793 0.278 O
0.802 0.983 0.799 O
0.848 0.339 0.948 O
0.849 0.151 0.432 O
0.913 0.409 0.690 O
0.925 0.417 0.210 O
0.962 0.949 0.185 O
0.986 0.791 0.802 O
```

No. 3
Starting from a structure optimized by DFT (PBE+U), the powder diffraction line list of LiFePCO7 was simulated for a wavelength of 1.5418 Å.

Most intense lines, 2θ = 5–70°, sorted by position:
10.6 deg, rel. 94; 17.3 deg, rel. 23; 17.4 deg, rel. 21; 19.5 deg, rel. 56; 21.1 deg, rel. 74; 22.2 deg, rel. 18; 26.3 deg, rel. 38; 27.7 deg, rel. 100; 35.0 deg, rel. 16; 35.8 deg, rel. 19

Structure:
```
LiFePCO7
1.0
5.143 0.000 0.000
-0.718 8.381 0.000
-0.015 -0.078 12.884
Li Fe P C O
4 4 4 4 28
Direct
0.000 0.000 0.000 Li
0.006 0.000 0.502 Li
0.020 0.609 0.851 Li
0.545 0.782 0.250 Li
0.577 0.554 0.003 Fe
0.580 0.559 0.500 Fe
0.971 0.225 0.250 Fe
0.975 0.225 0.749 Fe
0.051 0.311 0.999 P
0.052 0.315 0.497 P
0.501 0.468 0.250 P
0.508 0.467 0.750 P
0.061 0.934 0.752 C
0.068 0.933 0.248 C
0.479 0.845 0.993 C
0.482 0.848 0.501 C
0.109 0.791 0.762 O
0.154 0.798 0.248 O
0.206 0.425 0.763 O
0.207 0.414 0.249 O
0.235 0.060 0.247 O
0.242 0.051 0.748 O
0.313 0.716 0.988 O
0.314 0.723 0.501 O
0.347 0.364 0.001 O
0.347 0.370 0.493 O
0.393 0.980 0.996 O
0.399 0.984 0.500 O
0.568 0.569 0.654 O
0.570 0.583 0.343 O
0.571 0.579 0.156 O
0.609 0.572 0.844 O
0.642 0.310 0.747 O
0.647 0.316 0.250 O
0.723 0.816 0.999 O
0.724 0.817 0.500 O
0.825 0.962 0.248 O
0.828 0.981 0.747 O
0.905 0.467 0.496 O
0.915 0.469 0.992 O
0.971 0.205 0.093 O
0.980 0.199 0.405 O
0.984 0.199 0.906 O
0.994 0.208 0.593 O
```

No. 4
Starting from a structure optimized by DFT (PBE+U), the powder diffraction line list of LiFePCO7 was simulated for a wavelength of 1.5418 Å.

Most intense lines, 2θ = 5–70°, sorted by position:
10.2 deg, rel. 100; 16.7 deg, rel. 19; 18.1 deg, rel. 15; 19.9 deg, rel. 35; 20.4 deg, rel. 28; 26.7 deg, rel. 13; 27.3 deg, rel. 30; 28.4 deg, rel. 49; 35.1 deg, rel. 13; 36.9 deg, rel. 13

Structure:
```
LiFePCO7
1.0
5.123 0.000 0.000
0.257 6.309 0.000
0.232 0.700 8.661
Li Fe P C O
2 2 2 2 14
Direct
0.000 0.000 0.000 Li
0.479 0.516 0.547 Li
0.075 0.249 0.435 Fe
0.489 0.770 0.142 Fe
0.597 0.269 0.207 P
0.982 0.765 0.363 P
0.563 0.781 0.835 C
0.975 0.273 0.720 C
0.119 0.568 0.446 O
0.123 0.821 0.202 O
0.206 0.246 0.657 O
0.353 0.823 0.914 O
0.436 0.236 0.360 O
0.501 0.469 0.108 O
0.554 0.726 0.699 O
0.588 0.072 0.112 O
0.691 0.718 0.332 O
0.780 0.791 0.905 O
0.786 0.297 0.624 O
0.889 0.294 0.247 O
0.949 0.270 0.864 O
0.998 0.950 0.465 O
```

No. 5
Starting from a structure optimized by DFT (PBE+U), the powder diffraction line list of LiFePCO7 was simulated for a wavelength of 1.5418 Å.

Most intense lines, 2θ = 5–70°, sorted by position:
10.3 deg, rel. 100; 17.2 deg, rel. 43; 19.3 deg, rel. 32; 20.6 deg, rel. 43; 22.0 deg, rel. 18; 24.8 deg, rel. 17; 25.9 deg, rel. 34; 27.7 deg, rel. 57; 34.5 deg, rel. 18; 39.5 deg, rel. 14

Structure:
```
LiFePCO7
1.0
5.213 0.000 0.000
0.000 6.439 0.000
-0.629 0.000 8.630
Li Fe P C O
2 2 2 2 14
Direct
0.203 0.000 0.284 Li
0.797 0.500 0.716 Li
0.213 0.266 0.852 Fe
0.787 0.766 0.148 Fe
0.266 0.773 0.924 P
0.734 0.273 0.076 P
0.279 0.271 0.565 C
0.721 0.771 0.435 C
0.052 0.280 0.618 O
0.137 0.787 0.080 O
0.173 0.581 0.829 O
0.205 0.966 0.823 O
0.312 0.233 0.426 O
0.437 0.258 0.036 O
0.467 0.296 0.671 O
0.533 0.796 0.329 O
0.563 0.758 0.964 O
0.688 0.733 0.574 O
0.795 0.466 0.177 O
0.827 0.081 0.171 O
0.863 0.287 0.920 O
0.948 0.780 0.382 O
```

No. 6
Starting from a structure optimized by DFT (PBE+U), the powder diffraction line list of LiFePCO7 was simulated for a wavelength of 1.5418 Å.

Most intense lines, 2θ = 5–70°, sorted by position:
10.5 deg, rel. 84; 17.4 deg, rel. 40; 19.2 deg, rel. 60; 21.1 deg, rel. 84; 25.2 deg, rel. 25; 25.9 deg, rel. 36; 27.7 deg, rel. 100; 35.1 deg, rel. 18; 35.2 deg, rel. 18; 40.6 deg, rel. 23

Structure:
```
LiFePCO7
1.0
5.203 0.000 0.000
0.000 6.430 0.000
-0.864 0.000 8.411
Li Fe P C O
2 2 2 2 14
Direct
0.228 0.250 0.112 Li
0.772 0.750 0.888 Li
0.199 0.750 0.334 Fe
0.801 0.250 0.666 Fe
0.265 0.250 0.424 P
0.735 0.750 0.576 P
0.298 0.750 0.044 C
0.702 0.250 0.956 C
0.057 0.750 0.069 O
0.117 0.250 0.572 O
0.199 0.063 0.311 O
0.199 0.437 0.311 O
0.385 0.750 0.910 O
0.443 0.750 0.519 O
0.461 0.750 0.172 O
0.539 0.250 0.828 O
0.557 0.250 0.481 O
0.615 0.250 0.090 O
0.801 0.563 0.689 O
0.801 0.937 0.689 O
0.883 0.750 0.428 O
0.943 0.250 0.931 O
```